1.
For AcPr5Y3, a crystal structure in Alexandria, relaxed with GGA-PBE gives the simulated powder diffraction line list in this record (Cu Kα X-rays).
Peak positions follow from Bragg's law for the DFT cell and can differ from measured ones.

```
data_AcPr5Y3
_symmetry_space_group_name_H-M 'I m m a'
_symmetry_Int_Tables_number 74
_symmetry_space_group_name_Hall '-I 2b 2'
_cell_length_a 7.4678
_cell_length_b 18.0367
_cell_length_c 9.6366
_cell_angle_alpha 90.00
_cell_angle_beta 90.00
_cell_angle_gamma 90.00
loop_
_atom_site_label
_atom_site_fract_x
_atom_site_fract_y
_atom_site_fract_z
Ac1 0.0000 0.2500 0.1052
Pr1 0.0000 0.2500 0.4689
Pr2 0.2415 0.0827 0.4255
Y1 0.0000 0.0735 0.7563
Y2 0.2500 0.2500 0.7500
```

Main lines, most intense first (15 to 90 degrees two-theta):
| 2θ (°) | I (rel.) | index |
| --- | --- | --- |
| 29.68 | 100.0 | 0 6 0 |
| 28.22 | 36.7 | 0 1 3 |
| 31.91 | 34.5 | 2 2 2 |
| 37.49 | 20.3 | 0 5 3 |
| 36.38 | 19.5 | 2 4 2 |
| 39.94 | 17.7 | 2 3 3 |
| 25.82 | 17.0 | 2 2 0 |
| 57.33 | 13.6 | 0 0 6 |
| 58.17 | 13.5 | 4 6 0 |
| 31.10 | 13.1 | 2 4 0 |

2.
For DyInSi2Pt5, a crystal structure in Alexandria, relaxed with GGA-PBE gives the simulated powder diffraction line list in this record (Cu Kα X-rays).
Peak positions follow from Bragg's law for the DFT cell and can differ from measured ones.

```
data_DyInSi2Pt5
_symmetry_space_group_name_H-M 'P 4/m m m'
_symmetry_Int_Tables_number 123
_symmetry_space_group_name_Hall '-P 4 2'
_cell_length_a 3.9769
_cell_length_b 3.9769
_cell_length_c 11.6254
_cell_angle_alpha 90.00
_cell_angle_beta 90.00
_cell_angle_gamma 90.00
loop_
_atom_site_label
_atom_site_fract_x
_atom_site_fract_y
_atom_site_fract_z
Dy1 0.0000 0.0000 0.0000
In1 0.0000 0.0000 0.5000
Si1 0.5000 0.5000 0.2969
Pt1 0.0000 0.5000 0.1848
Pt2 0.5000 0.5000 0.5000
```

Main lines, most intense first (15 to 90 degrees two-theta):
| 2θ (°) | I (rel.) | index |
| --- | --- | --- |
| 35.46 | 100.0 | 1 1 2 |
| 22.95 | 57.2 | 0 0 3 |
| 45.62 | 46.5 | 2 0 0 |
| 39.60 | 31.7 | 1 1 3 |
| 50.96 | 31.6 | 1 1 5 |
| 32.77 | 30.7 | 1 1 1 |
| 51.67 | 26.7 | 2 0 3 |
| 77.69 | 21.9 | 3 1 2 |
| 73.33 | 20.8 | 1 1 8 |
| 67.50 | 20.1 | 2 0 6 |

3.
For Ag2Pd15Au2, a crystal structure in Alexandria, relaxed with GGA-PBE gives the simulated powder diffraction line list in this record (Cu Kα X-rays).
Peak positions follow from Bragg's law for the DFT cell and can differ from measured ones.

```
data_Ag2Pd15Au2
_symmetry_space_group_name_H-M 'R -3 m'
_symmetry_Int_Tables_number 166
_symmetry_space_group_name_Hall '-R 3 2"'
_cell_length_a 9.0311
_cell_length_b 9.0311
_cell_length_c 13.7585
_cell_angle_alpha 90.00
_cell_angle_beta 90.00
_cell_angle_gamma 120.00
loop_
_atom_site_label
_atom_site_fract_x
_atom_site_fract_y
_atom_site_fract_z
Ag1 0.0000 0.0000 0.0982
Pd1 0.0000 0.3285 0.0000
Pd2 0.0000 0.5000 0.5000
Pd3 0.0067 0.5034 0.1630
Au1 0.0000 0.0000 0.3247
```

Main lines, most intense first (15 to 90 degrees two-theta):
| 2θ (°) | I (rel.) | index |
| --- | --- | --- |
| 39.77 | 100.0 | 0 3 3 |
| 39.93 | 46.9 | 2 2 0 |
| 34.40 | 39.2 | 3 0 0 |
| 44.74 | 38.4 | 2 2 3 |
| 39.29 | 33.1 | 0 0 6 |
| 72.53 | 27.3 | 6 0 0 |
| 65.24 | 22.5 | 3 3 3 |
| 71.55 | 22.5 | 0 3 9 |
| 85.73 | 20.5 | 6 0 6 |
| 27.72 | 16.3 | 1 1 3 |

4.
For MgPd6Au, a crystal structure in Alexandria, relaxed with GGA-PBE gives the simulated powder diffraction line list in this record (Cu Kα X-rays).
Peak positions follow from Bragg's law for the DFT cell and can differ from measured ones.

```
data_MgPd6Au
_symmetry_space_group_name_H-M 'P 4/m m m'
_symmetry_Int_Tables_number 123
_symmetry_space_group_name_Hall '-P 4 2'
_cell_length_a 5.6457
_cell_length_b 5.6457
_cell_length_c 3.9688
_cell_angle_alpha 90.00
_cell_angle_beta 90.00
_cell_angle_gamma 90.00
loop_
_atom_site_label
_atom_site_fract_x
_atom_site_fract_y
_atom_site_fract_z
Mg1 0.0000 0.0000 0.0000
Pd1 0.0000 0.5000 0.0000
Pd2 0.2476 0.2476 0.5000
Au1 0.5000 0.5000 0.0000
```

Main lines, most intense first (15 to 90 degrees two-theta):
| 2θ (°) | I (rel.) | index |
| --- | --- | --- |
| 39.16 | 100.0 | 2 0 1 |
| 45.44 | 32.6 | 2 2 0 |
| 79.71 | 24.6 | 4 2 1 |
| 66.43 | 20.6 | 2 2 2 |
| 15.70 | 16.1 | 1 0 0 |
| 45.72 | 16.0 | 0 0 2 |
| 80.12 | 12.2 | 2 0 3 |
| 84.18 | 10.8 | 4 0 2 |
| 27.47 | 10.6 | 1 0 1 |
| 66.21 | 10.4 | 4 0 0 |

5.
For Li3Ce2S5, a crystal structure in Alexandria, relaxed with GGA-PBE gives the simulated powder diffraction line list in this record (Cu Kα X-rays).
Peak positions follow from Bragg's law for the DFT cell and can differ from measured ones.

```
data_Li3Ce2S5
_symmetry_space_group_name_H-M 'C 1 2/m 1'
_symmetry_Int_Tables_number 12
_cell_length_a 13.0610
_cell_length_b 3.8347
_cell_length_c 9.4715
_cell_angle_alpha 90.00
_cell_angle_beta 122.76
_cell_angle_gamma 90.00
loop_
_symmetry_equiv_pos_as_xyz
'x,y,z'
'-x,-y,-z'
'-x,y,-z'
'x,-y,z'
'x+1/2,y+1/2,z'
'-x+1/2,-y+1/2,-z'
'-x+1/2,y+1/2,-z'
'x+1/2,-y+1/2,z'
loop_
_atom_site_label
_atom_site_fract_x
_atom_site_fract_y
_atom_site_fract_z
Li1 0.0000 0.0000 0.0000
Li2 0.1281 0.5000 0.3835
Ce1 0.1722 0.0000 0.7584
S1 0.0000 0.5000 0.5000
S2 0.1137 0.5000 0.9192
S3 0.1925 0.0000 0.2926
```

Main lines, most intense first (15 to 90 degrees two-theta):
| 2θ (°) | I (rel.) | index |
| --- | --- | --- |
| 32.46 | 100.0 | 3 1 -2 |
| 33.85 | 59.8 | 3 1 0 |
| 22.32 | 56.4 | 0 0 2 |
| 16.14 | 45.1 | 2 0 0 |
| 30.26 | 38.1 | 1 1 -2 |
| 48.09 | 35.7 | 1 1 -4 |
| 34.22 | 35.3 | 2 0 2 |
| 25.14 | 34.5 | 1 1 -1 |
| 38.30 | 29.0 | 1 1 -3 |
| 45.00 | 28.6 | 3 1 -4 |

6.
For BaLi2Sn3, a crystal structure in Alexandria, relaxed with GGA-PBE gives the simulated powder diffraction line list in this record (Cu Kα X-rays).
Peak positions follow from Bragg's law for the DFT cell and can differ from measured ones.

```
data_BaLi2Sn3
_symmetry_space_group_name_H-M 'C m c m'
_symmetry_Int_Tables_number 63
_symmetry_space_group_name_Hall '-C 2c 2'
_cell_length_a 11.5400
_cell_length_b 9.2519
_cell_length_c 6.0855
_cell_angle_alpha 90.00
_cell_angle_beta 90.00
_cell_angle_gamma 90.00
loop_
_atom_site_label
_atom_site_fract_x
_atom_site_fract_y
_atom_site_fract_z
Ba1 0.0000 0.1624 0.2500
Li1 0.2155 0.5000 0.0000
Sn1 0.0000 0.4441 0.7500
Sn2 0.1949 0.2292 0.7500
```

Main lines, most intense first (15 to 90 degrees two-theta):
| 2θ (°) | I (rel.) | index |
| --- | --- | --- |
| 29.11 | 100.0 | 3 1 1 |
| 28.76 | 79.7 | 2 2 1 |
| 29.35 | 74.7 | 0 0 2 |
| 40.31 | 45.8 | 3 3 1 |
| 24.67 | 40.3 | 2 2 0 |
| 19.19 | 32.2 | 0 2 0 |
| 38.71 | 30.6 | 2 2 2 |
| 29.99 | 30.4 | 1 3 0 |
| 31.00 | 25.6 | 4 0 0 |
| 52.28 | 24.2 | 1 5 1 |

7.
For Na2SnBi4Pb2, a crystal structure in Alexandria, relaxed with GGA-PBE gives the simulated powder diffraction line list in this record (Cu Kα X-rays).
Peak positions follow from Bragg's law for the DFT cell and can differ from measured ones.

```
data_Na2SnBi4Pb2
_symmetry_space_group_name_H-M 'P -1'
_symmetry_Int_Tables_number 2
_cell_length_a 6.1493
_cell_length_b 6.9134
_cell_length_c 7.5266
_cell_angle_alpha 77.82
_cell_angle_beta 76.14
_cell_angle_gamma 69.69
loop_
_symmetry_equiv_pos_as_xyz
'x,y,z'
'-x,-y,-z'
loop_
_atom_site_label
_atom_site_fract_x
_atom_site_fract_y
_atom_site_fract_z
Na1 0.1448 0.3630 0.3038
Sn1 0.5000 0.5000 0.5000
Bi1 0.1044 0.8889 0.3132
Bi2 0.2968 0.6905 0.8949
Pb1 0.3106 0.1907 0.8540
```

Main lines, most intense first (15 to 90 degrees two-theta):
| 2θ (°) | I (rel.) | index |
| --- | --- | --- |
| 31.70 | 100.0 | 2 0 1 |
| 32.06 | 96.7 | 0 2 -1 |
| 35.07 | 41.1 | 2 2 0 |
| 38.00 | 30.6 | -1 2 1 |
| 37.79 | 27.3 | 1 0 3 |
| 17.33 | 27.3 | 1 1 0 |
| 26.55 | 23.9 | 0 1 2 |
| 21.59 | 15.7 | 1 0 -1 |
| 61.25 | 15.4 | 2 4 -1 |
| 26.72 | 14.5 | 1 0 2 |